(1)
For SmScTe2, DFT lattice parameters and positions (PBE) gives the theoretical X-ray powder pattern in this record (Cu Ka).
Intensities are scaled so that the largest is 100.

Most intense lines, 5 to 70 degrees two-theta, low angle first:
2θ 11.81, I 9; 2θ 27.33, I 100; 2θ 34.42, I 93; 2θ 43.22, I 47; 2θ 44.02, I 19; 2θ 48.59, I 9; 2θ 51.89, I 17; 2θ 56.38, I 22; 2θ 67.04, I 21; 2θ 69.77, I 14

Lattice parameters (Å, degrees): 4.1863 4.1863 7.4951 90.00 90.00 120.00
Positions (direct):
Sm1 0.0000 0.0000 0.0000
Sc1 0.0000 0.0000 0.5000
Te1 0.3333 0.6667 0.7289
Te2 0.6667 0.3333 0.2711

=====

(2)
For Sm5ScTe6, DFT lattice parameters and positions (PBE) gives the theoretical X-ray powder pattern in this record (Cu Ka).
Intensities are scaled so that the largest is 100.

Most intense lines, 5 to 70 degrees two-theta, low angle first:
2θ 28.70, I 100; 2θ 40.99, I 50; 2θ 41.11, I 25; 2θ 50.73, I 7; 2θ 50.83, I 13; 2θ 50.95, I 6; 2θ 59.38, I 8; 2θ 67.19, I 5; 2θ 67.26, I 16; 2θ 67.41, I 11

Lattice parameters (Å, degrees): 7.6200 7.6200 7.6309 99.53 99.53 120.17
Positions (direct):
Sm1 0.0000 0.0000 0.0000
Sm2 0.1658 0.8342 0.5000
Sm3 0.3214 0.6786 0.0000
Sm4 0.6786 0.3214 0.0000
Sm5 0.8342 0.1658 0.5000
Sc1 0.5000 0.5000 0.5000
Te1 0.1030 0.4214 0.2610
Te2 0.2657 0.2657 0.7503
Te3 0.4214 0.1030 0.2610
Te4 0.5786 0.8970 0.7390
Te5 0.7343 0.7343 0.2497
Te6 0.8970 0.5786 0.7390

=====

(3)
For SmSc2Tl3Te6, DFT lattice parameters and positions (PBE) gives the theoretical X-ray powder pattern in this record (Cu Ka).
Intensities are scaled so that the largest is 100.

Most intense lines, 5 to 70 degrees two-theta, low angle first:
2θ 23.88, I 11; 2θ 27.81, I 100; 2θ 29.93, I 16; 2θ 37.91, I 37; 2θ 41.49, I 35; 2θ 50.68, I 18; 2θ 53.99, I 11; 2θ 57.45, I 11; 2θ 62.46, I 13; 2θ 67.49, I 15

Lattice parameters (Å, degrees): 7.5373 7.5373 8.5251 98.50 98.50 119.93
Positions (direct):
Sm1 0.0000 0.0000 0.0000
Sc1 0.3325 0.6675 0.0000
Sc2 0.6675 0.3325 0.0000
Tl1 0.1602 0.8398 0.5000
Tl2 0.5000 0.5000 0.5000
Tl3 0.8398 0.1602 0.5000
Te1 0.0699 0.4199 0.2093
Te2 0.2823 0.2823 0.7958
Te3 0.4199 0.0699 0.2093
Te4 0.5801 0.9301 0.7907
Te5 0.7177 0.7177 0.2042
Te6 0.9301 0.5801 0.7907

=====

(4)
For SmTh3Sc6, DFT lattice parameters and positions (PBE) gives the theoretical X-ray powder pattern in this record (Cu Ka).
Intensities are scaled so that the largest is 100.

Most intense lines, 5 to 70 degrees two-theta, low angle first:
2θ 18.17, I 100; 2θ 19.50, I 26; 2θ 24.89, I 21; 2θ 25.49, I 23; 2θ 29.88, I 68; 2θ 30.94, I 34; 2θ 33.03, I 77; 2θ 33.34, I 68; 2θ 35.26, I 59; 2θ 47.59, I 28

Lattice parameters (Å, degrees): 10.5560 10.5560 5.7813 90.00 90.00 119.21
Positions (direct):
Sm1 0.2076 0.7924 0.5000
Sm2 0.7924 0.2076 0.0000
Th1 0.0610 0.2816 0.3629
Th2 0.2816 0.0610 0.8629
Th3 0.3963 0.6037 0.4213
Th4 0.6037 0.3963 0.9213
Th5 0.7184 0.9390 0.3629
Th6 0.9390 0.7184 0.8629
Sc1 0.0353 0.4646 0.7671
Sc2 0.0425 0.9575 0.3132
Sc3 0.2801 0.3803 0.8955
Sc4 0.2811 0.7189 0.0004
Sc5 0.3803 0.2801 0.3955
Sc6 0.4646 0.0353 0.2671
Sc7 0.5354 0.9647 0.7671
Sc8 0.6197 0.7199 0.8955
Sc9 0.7189 0.2811 0.5004
Sc10 0.7199 0.6197 0.3955
Sc11 0.9575 0.0425 0.8132
Sc12 0.9647 0.5354 0.2671